Structure and computed X-ray diffraction stick pattern of HoEr2FeCo2Ni6 (a structure optimized by DFT (GGA-PBE); Cu Ka).

Principal peaks in the range 2θ from 10° to 90°, by angle:
| Position (°2θ) | Rel. int. |
| --- | --- |
| 33.38 | 51 |
| 36.26 | 53 |
| 36.46 | 41 |
| 42.29 | 41 |
| 42.89 | 100 |
| 46.33 | 14 |
| 63.41 | 16 |
| 65.36 | 15 |
| 69.81 | 33 |
| 76.98 | 21 |

Cell and atoms:
```
12
Lattice="2.4772 1.4302 8.0276 -2.4772 1.4302 8.0276 0.0000 -2.8605 8.0276" Properties=species:S:1:pos:R:3 pbc="T T T"
Ho 0.0000 0.0000 0.0000
Er 0.0000 0.0000 3.3384
Er 0.0000 0.0000 20.7444
Fe 0.0000 0.0000 12.0414
Co 0.0000 0.0000 8.0315
Co 0.0000 0.0000 16.0513
Ni -1.2396 -0.7157 10.0148
Ni 0.0000 -1.4313 14.0680
Ni -1.2396 0.7157 14.0680
Ni 1.2396 -0.7157 10.0148
Ni 0.0000 1.4313 10.0148
Ni 1.2396 0.7157 14.0680
```